(1)
Starting from DFT lattice parameters and positions (PBE), the powder diffraction line list of U3Tl2I4O20 was computed for copper Kα.

Structural model:
```
U3Tl2I4O20
1.0
7.097 0.000 0.000
-0.223 8.291 0.000
-2.434 -0.159 9.012
U Tl I O
3 2 4 20
Cartesian
0.000 0.000 0.000 U
1.200 0.572 7.303 U
3.240 7.560 1.709 U
-0.391 4.812 7.568 Tl
4.832 3.320 1.444 Tl
-0.210 6.474 3.332 I
0.950 2.861 4.018 I
3.490 5.270 4.994 I
4.650 1.658 5.679 I
0.067 1.670 0.746 O
-0.826 2.342 4.068 O
-0.143 4.858 2.521 O
-0.992 0.869 6.490 O
0.844 7.412 2.074 O
-0.423 8.082 8.915 O
0.980 4.276 5.185 O
1.025 7.192 6.537 O
1.674 1.553 5.102 O
1.134 2.284 7.972 O
3.306 5.847 1.040 O
2.766 6.579 3.910 O
3.415 0.940 2.475 O
3.460 3.856 3.827 O
4.863 0.050 0.097 O
3.597 0.719 6.938 O
5.432 7.262 2.522 O
4.583 3.274 6.491 O
5.266 5.790 4.944 O
4.373 6.462 8.266 O
```

Top 10 peaks for 2θ = 10–90°, in order of rising 2θ:
(hkl)	two_theta	d_spacing	I (rel.)
0 1 1	14.65	6.048	44.2
1 1 -2	23.24	3.828	67.2
0 2 1	23.79	3.741	100.0
1 0 2	26.36	3.381	50.8
-2 1 1	27.28	3.269	52.4
1 -2 1	27.82	3.207	57.7
2 1 0	28.51	3.131	61.2
1 0 -3	29.18	3.060	33.9
1 2 -2	29.91	2.987	34.4
3 -1 1	44.43	2.039	28.0

---

(2)
Starting from DFT lattice parameters and positions (PBE), the powder diffraction line list of InHg4Pb3 was computed for copper Kα.

Structural model:
```
InHg4Pb3
1.0
3.300 0.000 0.000
0.000 11.152 0.000
0.000 0.000 12.382
In Hg Pb
2 8 6
Cartesian
0.000 0.000 0.000 In
1.650 5.576 6.191 In
0.000 2.788 1.580 Hg
0.000 2.788 10.802 Hg
0.000 8.363 1.580 Hg
0.000 8.363 10.802 Hg
1.650 2.788 4.611 Hg
1.650 2.788 7.771 Hg
1.650 8.364 4.611 Hg
1.650 8.364 7.771 Hg
0.000 0.000 6.191 Pb
0.000 5.576 3.188 Pb
0.000 5.576 9.195 Pb
1.650 0.000 3.004 Pb
1.650 0.000 9.379 Pb
1.650 5.576 0.000 Pb
```

Top 10 peaks for 2θ = 10–90°, in order of rising 2θ:
(hkl)	two_theta	d_spacing	I (rel.)
1 1 2	31.76	2.818	51.0
0 4 0	32.11	2.788	54.7
1 2 1	32.34	2.768	41.2
0 2 4	33.10	2.706	100.0
1 0 3	34.81	2.577	14.7
1 2 3	38.48	2.340	18.3
1 3 2	39.30	2.292	28.9
0 6 4	57.87	1.593	20.9
2 2 4	66.35	1.409	27.7
2 6 4	84.53	1.146	14.9

---

(3)
Starting from DFT lattice parameters and positions (PBE), the powder diffraction line list of Ho2NbO6 was computed for copper Kα.

Structural model:
```
Ho2NbO6
1.0
5.047 0.000 0.000
0.000 5.047 0.000
0.000 0.000 10.080
Ho Nb O
4 2 12
Cartesian
0.000 0.000 1.703 Ho
0.000 0.000 8.377 Ho
2.524 2.524 3.337 Ho
2.524 2.524 6.743 Ho
0.000 0.000 5.040 Nb
2.524 2.524 0.000 Nb
0.946 0.946 3.531 O
0.946 0.946 6.549 O
1.085 1.085 0.000 O
1.438 3.609 5.040 O
1.577 3.470 1.509 O
1.577 3.470 8.571 O
3.470 1.577 1.509 O
3.470 1.577 8.571 O
3.609 1.438 5.040 O
3.962 3.962 0.000 O
4.101 4.101 3.531 O
4.101 4.101 6.549 O
```

Top 10 peaks for 2θ = 10–90°, in order of rising 2θ:
(hkl)	two_theta	d_spacing	I (rel.)
1 1 0	24.95	3.569	100.0
1 0 3	32.00	2.797	84.8
2 0 0	35.57	2.524	25.5
2 1 3	48.59	1.874	69.9
2 2 0	51.19	1.785	17.1
3 1 0	57.76	1.596	16.5
1 1 6	60.95	1.520	17.2
3 0 3	61.65	1.504	21.1
3 2 3	73.25	1.292	15.0
4 1 3	84.17	1.150	13.3